[1]
Starting from DFT lattice parameters and positions (GGA+U), the XRD peak list of Li9Mn12Ni3O32 was calculated for copper Kα.
Lines closer than 0.1° are merged.

Largest 10 diffraction maxima, sorted by position, 2θ from 10° to 90°:
- 18.54°, d = 4.786 Å, rel. 100
- 35.93°, d = 2.500 Å, rel. 47
- 37.58°, d = 2.393 Å, rel. 10
- 43.67°, d = 2.073 Å, rel. 55
- 47.82°, d = 1.902 Å, rel. 10
- 57.79°, d = 1.595 Å, rel. 20
- 63.47°, d = 1.466 Å, rel. 32
- 66.75°, d = 1.401 Å, rel. 14
- 80.22°, d = 1.197 Å, rel. 8
- 83.22°, d = 1.161 Å, rel. 7

Atomic structure:
a b c (Å): 8.2904 8.2904 8.2904
angles (deg): 90.00 90.00 90.00
Positions (direct):
1 Li 0.0000 0.0000 0.0000
2 Li 0.1184 0.1283 0.6295
3 Li 0.1283 0.6295 0.1184
4 Li 0.3705 0.8717 0.8816
5 Li 0.3792 0.3792 0.3792
6 Li 0.6208 0.6208 0.6208
7 Li 0.6295 0.1184 0.1283
8 Li 0.8717 0.8816 0.3705
9 Li 0.8816 0.3705 0.8717
10 Mn 0.0000 0.5040 0.4960
11 Mn 0.0045 0.2516 0.2477
12 Mn 0.2457 0.7543 0.5000
13 Mn 0.2477 0.0045 0.2516
14 Mn 0.2516 0.2477 0.0045
15 Mn 0.4960 0.0000 0.5040
16 Mn 0.5000 0.2457 0.7543
17 Mn 0.5040 0.4960 0.0000
18 Mn 0.7484 0.9955 0.7523
19 Mn 0.7523 0.7484 0.9955
20 Mn 0.7543 0.5000 0.2457
21 Mn 0.9955 0.7523 0.7484
22 Ni 0.2493 0.5000 0.7507
23 Ni 0.5000 0.7507 0.2493
24 Ni 0.7507 0.2493 0.5000
25 O 0.0022 0.5166 0.7264
26 O 0.0106 0.7398 0.5089
27 O 0.0188 0.0251 0.2525
28 O 0.0251 0.2525 0.0188
29 O 0.2272 0.7491 0.7332
30 O 0.2331 0.5230 0.5024
31 O 0.2402 0.2402 0.2402
32 O 0.2509 0.7728 0.2668
33 O 0.2525 0.0188 0.0251
34 O 0.2602 0.9894 0.4911
35 O 0.2668 0.2509 0.7728
36 O 0.2736 0.4834 0.9978
37 O 0.4770 0.7669 0.4976
38 O 0.4834 0.9978 0.2736
39 O 0.4911 0.2602 0.9894
40 O 0.4976 0.4770 0.7669
41 O 0.5024 0.2331 0.5230
42 O 0.5089 0.0106 0.7398
43 O 0.5166 0.7264 0.0022
44 O 0.5230 0.5024 0.2331
45 O 0.7264 0.0022 0.5166
46 O 0.7332 0.2272 0.7491
47 O 0.7398 0.5089 0.0106
48 O 0.7475 0.9749 0.9812
49 O 0.7491 0.7332 0.2272
50 O 0.7598 0.7598 0.7598
51 O 0.7669 0.4976 0.4770
52 O 0.7728 0.2668 0.2509
53 O 0.9749 0.9812 0.7475
54 O 0.9812 0.7475 0.9749
55 O 0.9894 0.4911 0.2602
56 O 0.9978 0.2736 0.4834

***

[2]
Starting from DFT lattice parameters and positions (GGA+U), the XRD peak list of Li7Co5O12 was calculated for copper Kα.
Lines closer than 0.1° are merged.

Largest 10 diffraction maxima, sorted by position, 2θ from 10° to 90°:
- 18.56°, d = 4.780 Å, rel. 100
- 36.29°, d = 2.475 Å, rel. 27
- 36.68°, d = 2.450 Å, rel. 12
- 38.03°, d = 2.366 Å, rel. 7
- 43.89°, d = 2.063 Å, rel. 55
- 44.55°, d = 2.034 Å, rel. 26
- 63.52°, d = 1.465 Å, rel. 7
- 64.12°, d = 1.452 Å, rel. 15
- 64.52°, d = 1.444 Å, rel. 7
- 64.70°, d = 1.441 Å, rel. 7

Atomic structure:
a b c (Å): 5.0728 5.7776 7.6462
angles (deg): 100.35 95.79 107.22
Positions (direct):
1 Li 0.0000 0.0000 0.0000
2 Li 0.4914 0.4115 0.1599
3 Li 0.4970 0.0823 0.8380
4 Li 0.4971 0.7496 0.5010
5 Li 0.5029 0.2504 0.4990
6 Li 0.5030 0.9177 0.1620
7 Li 0.5086 0.5885 0.8401
8 Co 0.0004 0.1645 0.6724
9 Co 0.0000 0.5000 0.0000
10 Co 0.9996 0.8355 0.3276
11 Co 0.0021 0.6709 0.6750
12 Co 0.9979 0.3291 0.3250
13 O 0.2124 0.4502 0.5741
14 O 0.2192 0.3041 0.9149
15 O 0.2242 0.6060 0.2374
16 O 0.2249 0.7661 0.9103
17 O 0.2311 0.9438 0.5883
18 O 0.2323 0.1292 0.2625
19 O 0.7677 0.8708 0.7375
20 O 0.7689 0.0562 0.4117
21 O 0.7751 0.2339 0.0897
22 O 0.7758 0.3940 0.7626
23 O 0.7808 0.6959 0.0851
24 O 0.7876 0.5498 0.4259

***

[3]
Starting from DFT lattice parameters and positions (GGA+U), the XRD peak list of MoH4O5 was calculated for copper Kα.
Lines closer than 0.1° are merged.

Largest 10 diffraction maxima, sorted by position, 2θ from 10° to 90°:
- 13.99°, d = 6.330 Å, rel. 100
- 21.00°, d = 4.230 Å, rel. 38
- 21.55°, d = 4.123 Å, rel. 41
- 22.87°, d = 3.889 Å, rel. 45
- 25.79°, d = 3.455 Å, rel. 55
- 27.57°, d = 3.235 Å, rel. 13
- 28.19°, d = 3.165 Å, rel. 22
- 30.27°, d = 2.953 Å, rel. 31
- 43.96°, d = 2.060 Å, rel. 18
- 48.43°, d = 1.879 Å, rel. 14

Atomic structure:
a b c (Å): 4.3147 8.2456 6.4569
angles (deg): 90.00 101.36 90.00
Positions (direct):
1 Mo 0.0600 0.0000 0.0150
2 Mo 0.9400 0.5000 0.9850
3 H 0.1990 0.6384 0.3510
4 H 0.3547 0.2306 0.4423
5 H 0.3732 0.8575 0.5520
6 H 0.3965 0.5273 0.8023
7 H 0.6035 0.0273 0.1977
8 H 0.6268 0.3575 0.4480
9 H 0.6453 0.7306 0.5577
10 H 0.8010 0.1384 0.6490
11 O 0.0065 0.7900 0.0135
12 O 0.0637 0.0619 0.2774
13 O 0.0807 0.5418 0.2773
14 O 0.4546 0.7757 0.4684
15 O 0.4770 0.5209 0.9563
16 O 0.5230 0.0209 0.0437
17 O 0.5454 0.2757 0.5316
18 O 0.9193 0.0418 0.7227
19 O 0.9363 0.5619 0.7226
20 O 0.9935 0.2900 0.9865

***

[4]
Starting from DFT lattice parameters and positions (GGA+U), the XRD peak list of LiY2Fe4O8 was calculated for copper Kα.
Lines closer than 0.1° are merged.

Largest 10 diffraction maxima, sorted by position, 2θ from 10° to 90°:
- 27.14°, d = 3.286 Å, rel. 84
- 28.15°, d = 3.170 Å, rel. 25
- 29.16°, d = 3.063 Å, rel. 22
- 30.63°, d = 2.919 Å, rel. 39
- 30.86°, d = 2.897 Å, rel. 81
- 33.09°, d = 2.707 Å, rel. 100
- 33.75°, d = 2.656 Å, rel. 93
- 55.89°, d = 1.645 Å, rel. 24
- 56.01°, d = 1.642 Å, rel. 55
- 58.21°, d = 1.585 Å, rel. 21

Atomic structure:
a b c (Å): 6.1258 6.3395 6.6089
angles (deg): 118.64 117.44 90.12
Positions (direct):
1 Li 0.0000 0.0000 0.0000
2 Y 0.0560 0.5175 0.0333
3 Y 0.7608 0.7385 0.4723
4 Fe 0.4173 0.1301 0.7796
5 Fe 0.4178 0.6532 0.7803
6 Fe 0.4508 0.1707 0.3379
7 Fe 0.9301 0.1812 0.3578
8 O 0.1568 0.8959 0.7894
9 O 0.1715 0.3589 0.2859
10 O 0.1719 0.9288 0.2862
11 O 0.2030 0.3859 0.7690
12 O 0.6310 0.3355 0.2397
13 O 0.6314 0.9089 0.2398
14 O 0.6376 0.8821 0.7600
15 O 0.6489 0.3700 0.7359